Computed PXRD pattern
Compound: LiCdB4
Radiation: a wavelength of 1.5418 Å
Structure: a structure optimized by DFT (GGA-PBE)

Most intense lines, 15 to 90 degrees two-theta, by intensity:
2θ (°)	intensity
20.56	100
41.78	72
34.04	38
31.67	36
47.22	22
23.50	21
39.61	19
60.21	15
59.12	11
46.75	11
48.08	10
60.98	9

Structure:
```
12
Lattice="3.046 0.000 0.000 0.000 5.259 0.000 0.000 0.000 7.570" Properties=species:S:1:pos:R:3 pbc="T T T"
Li 0.000 0.000 0.000
Li 1.523 2.630 3.785
Cd 0.000 0.000 3.785
Cd 1.523 2.630 0.000
B 0.000 1.759 1.946
B 0.000 1.759 5.624
B 0.000 3.500 1.946
B 0.000 3.500 5.624
B 1.523 0.871 1.839
B 1.523 0.871 5.731
B 1.523 4.389 1.839
B 1.523 4.389 5.731
```

---

Computed PXRD pattern
Compound: CdB3Mo4
Radiation: a wavelength of 1.5418 Å
Structure: a structure optimized by DFT (GGA-PBE)

Most intense lines, 15 to 90 degrees two-theta, by intensity:
2θ (°)	intensity
37.82	100
39.79	92
36.15	72
36.47	57
58.90	49
71.29	46
33.19	42
52.99	20
70.27	18
66.53	16
73.45	14
72.15	14

Structure:
```
16
Lattice="3.136 0.000 0.000 -1.568 2.716 0.000 0.000 0.000 24.638" Properties=species:S:1:pos:R:3 pbc="T T T"
Cd 0.000 1.811 6.160
Cd 1.568 0.905 18.479
B 0.000 0.000 0.000
B 0.000 0.000 12.319
B 0.000 1.811 14.948
B 0.000 1.811 22.009
B 1.568 0.905 2.629
B 1.568 0.905 9.690
Mo 0.000 0.000 3.753
Mo 0.000 0.000 8.566
Mo 0.000 0.000 16.072
Mo 0.000 0.000 20.885
Mo 0.000 1.811 1.318
Mo 0.000 1.811 11.001
Mo 1.568 0.905 13.637
Mo 1.568 0.905 23.320
```

---

Computed PXRD pattern
Compound: CdBNO
Radiation: a wavelength of 1.5418 Å
Structure: a structure optimized by DFT (GGA-PBE)

Most intense lines, 15 to 90 degrees two-theta, by intensity:
2θ (°)	intensity
36.33	100
28.83	92
34.10	64
37.94	31
39.62	28
51.93	23
53.25	22
62.50	20
71.80	18
41.69	16
67.24	16
69.75	14

Structure:
```
16
Lattice="4.549 0.000 0.000 0.000 7.114 0.000 0.000 0.000 5.259" Properties=species:S:1:pos:R:3 pbc="T T T"
Cd 0.092 1.024 0.000
Cd 2.183 1.024 2.629
Cd 2.366 6.090 0.000
Cd 4.457 6.090 2.629
B 0.249 4.309 5.231
B 2.026 4.309 2.601
B 2.523 2.805 5.231
B 4.300 2.805 2.601
N 0.022 5.707 5.235
N 2.253 5.707 2.606
N 2.296 1.407 5.235
N 4.527 1.407 2.606
O 0.662 3.864 2.595
O 1.613 3.864 5.224
O 2.936 3.250 2.595
O 3.887 3.250 5.224
```

---

Computed PXRD pattern
Compound: Nb3CdB4
Radiation: a wavelength of 1.5418 Å
Structure: a structure optimized by DFT (GGA-PBE)

Most intense lines, 15 to 90 degrees two-theta, by intensity:
2θ (°)	intensity
34.69	100
40.01	81
41.20	61
38.64	29
64.91	28
33.45	28
67.75	27
28.91	27
44.65	21
74.10	18
56.20	16
59.47	16

Structure:
```
8
Lattice="3.109 0.000 0.000 0.000 3.273 0.000 0.000 0.000 9.320" Properties=species:S:1:pos:R:3 pbc="T T T"
Nb 0.000 0.000 0.000
Nb 1.554 0.000 2.653
Nb 1.554 0.000 6.667
Cd 0.000 1.637 4.660
B 0.000 1.637 1.826
B 0.000 1.637 7.494
B 1.554 1.637 0.942
B 1.554 1.637 8.378
```